[1]
For TmVSb, DFT lattice parameters and positions (PBE) gives the calculated XRD peak list in this record (CuKα).
Peak positions follow from Bragg's law for the DFT cell and can differ from measured ones.

Structure:
```
TmVSb
1.0
4.930 0.000 0.000
0.000 4.898 0.000
-0.128 0.000 10.679
Tm V Sb
4 4 4
Direct
0.246 0.000 0.385
0.254 0.500 0.615
0.746 0.500 0.385
0.754 0.000 0.615
0.230 0.000 0.063
0.270 0.500 0.937
0.730 0.500 0.063
0.770 0.000 0.937
0.240 0.500 0.192
0.260 0.000 0.808
0.740 0.000 0.192
0.760 0.500 0.808
```

Main lines, most intense first (2θ = 10–80°):
| Position (°2θ) | I/Imax |
| --- | --- |
| 30.82 | 100 |
| 35.97 | 87 |
| 30.58 | 83 |
| 36.45 | 74 |
| 36.69 | 74 |
| 36.28 | 71 |
| 52.69 | 51 |
| 62.29 | 28 |
| 42.32 | 27 |
| 65.64 | 24 |

[2]
For TbGa2Ag3, DFT lattice parameters and positions (PBE) gives the calculated XRD peak list in this record (CuKα).
Peak positions follow from Bragg's law for the DFT cell and can differ from measured ones.

Structure:
```
TbGa2Ag3
1.0
7.941 -2.234 0.000
7.941 2.234 0.000
-2.150 0.000 6.602
Tb Ga Ag
2 4 6
Direct
0.121 0.121 0.178
0.879 0.879 0.822
0.232 0.232 0.669
0.488 0.488 0.178
0.512 0.512 0.822
0.768 0.768 0.331
0.067 0.067 0.692
0.309 0.309 0.073
0.366 0.366 0.499
0.634 0.634 0.501
0.691 0.691 0.927
0.933 0.933 0.308
```

Main lines, most intense first (2θ = 10–80°):
| Position (°2θ) | I/Imax |
| --- | --- |
| 34.94 | 100 |
| 35.77 | 99 |
| 40.38 | 66 |
| 34.02 | 66 |
| 42.21 | 32 |
| 35.89 | 31 |
| 40.55 | 27 |
| 32.80 | 21 |
| 58.57 | 18 |
| 70.46 | 17 |

[3]
For Ca4ErNp3N8, DFT lattice parameters and positions (PBE) gives the calculated XRD peak list in this record (CuKα).
Peak positions follow from Bragg's law for the DFT cell and can differ from measured ones.

Structure:
```
Ca4ErNp3N8
1.0
3.473 2.005 5.693
-3.473 2.005 5.693
0.000 -4.010 5.693
Ca Er Np N
4 1 3 8
Direct
0.000 0.000 0.000
0.000 0.500 0.500
0.500 0.000 0.500
0.500 0.500 0.000
0.500 0.500 0.500
0.000 0.000 0.500
0.000 0.500 0.000
0.500 0.000 0.000
0.226 0.744 0.744
0.240 0.240 0.240
0.256 0.256 0.774
0.256 0.774 0.256
0.744 0.226 0.744
0.744 0.744 0.226
0.760 0.760 0.760
0.774 0.256 0.256
```

Main lines, most intense first (2θ = 10–80°):
| Position (°2θ) | I/Imax |
| --- | --- |
| 15.57 | 100 |
| 36.55 | 96 |
| 31.54 | 93 |
| 30.17 | 58 |
| 62.70 | 43 |
| 52.72 | 33 |
| 52.57 | 32 |
| 31.43 | 32 |
| 39.94 | 26 |
| 55.32 | 25 |